(1)
Diffraction record for Zn2SiO4. The X-ray diffraction stick pattern is calculated, not measured: it uses a DFT-relaxed cell (GGA-PBE, OQMD) and Cu Kα X-rays.

Structure:
Cell: 10.2547 6.6655 5.0647 Å, 90.00 90.00 90.00°
Fractional coordinates of all 28 atoms:
Zn 0.1559 0.0003 0.1682
Zn 0.1559 0.4997 0.1682
Zn 0.3441 0.9997 0.6682
Zn 0.3441 0.5003 0.6682
Zn 0.6559 0.0003 0.3318
Zn 0.6559 0.4997 0.3318
Zn 0.8441 0.9997 0.8318
Zn 0.8441 0.5003 0.8318
Si 0.0902 0.2500 0.6692
Si 0.4098 0.7500 0.1692
Si 0.5902 0.2500 0.8308
Si 0.9098 0.7500 0.3308
O 0.0626 0.7500 0.2388
O 0.1076 0.2500 0.3471
O 0.1608 0.0466 0.7846
O 0.1608 0.4534 0.7846
O 0.3392 0.5466 0.2846
O 0.3392 0.9534 0.2846
O 0.3924 0.7500 0.8471
O 0.4374 0.2500 0.7388
O 0.5626 0.7500 0.2612
O 0.6076 0.2500 0.1529
O 0.6608 0.0466 0.7154
O 0.6608 0.4534 0.7154
O 0.8392 0.5466 0.2154
O 0.8392 0.9534 0.2154
O 0.8924 0.7500 0.6529
O 0.9374 0.2500 0.7612

Largest 12 diffraction maxima, low angle first, 2θ from 10° to 90°:
d = 3.603 Å, 24.7 deg, rel. 100
d = 3.333 Å, 26.7 deg, rel. 63
d = 2.794 Å, 32.0 deg, rel. 60
d = 2.687 Å, 33.3 deg, rel. 45
d = 2.564 Å, 35.0 deg, rel. 65
d = 2.532 Å, 35.4 deg, rel. 51
d = 2.458 Å, 36.5 deg, rel. 42
d = 2.447 Å, 36.7 deg, rel. 74
d = 2.159 Å, 41.8 deg, rel. 42
d = 1.521 Å, 60.9 deg, rel. 39
d = 1.513 Å, 61.3 deg, rel. 42
d = 1.379 Å, 68.0 deg, rel. 52


(2)
Diffraction record for Sm32O21. The X-ray diffraction stick pattern is calculated, not measured: it uses a DFT-relaxed cell (GGA-PBE, OQMD) and Cu Kα X-rays.

Structure:
Cell: 10.8364 10.8364 10.8364 Å, 90.19 90.19 90.19°
Fractional coordinates of all 53 atoms:
Sm 0.0000 0.0000 0.0000
Sm 0.0032 0.7391 0.7391
Sm 0.2337 0.7385 0.9967
Sm 0.2337 0.9967 0.7385
Sm 0.2408 0.4855 0.7462
Sm 0.2408 0.7462 0.4855
Sm 0.2416 0.2416 0.9953
Sm 0.2416 0.9953 0.2416
Sm 0.2459 0.2459 0.4988
Sm 0.2459 0.4988 0.2459
Sm 0.4855 0.2408 0.7462
Sm 0.4855 0.7462 0.2408
Sm 0.4936 0.4936 0.9926
Sm 0.4936 0.9926 0.4936
Sm 0.4988 0.2459 0.2459
Sm 0.5000 0.5000 0.5000
Sm 0.5035 0.9920 0.9920
Sm 0.5057 0.7404 0.7404
Sm 0.7385 0.2337 0.9967
Sm 0.7385 0.9967 0.2337
Sm 0.7391 0.0032 0.7391
Sm 0.7391 0.7391 0.0032
Sm 0.7404 0.5057 0.7404
Sm 0.7404 0.7404 0.5057
Sm 0.7462 0.2408 0.4855
Sm 0.7462 0.4855 0.2408
Sm 0.9920 0.5035 0.9920
Sm 0.9920 0.9920 0.5035
Sm 0.9926 0.4936 0.4936
Sm 0.9953 0.2416 0.2416
Sm 0.9967 0.2337 0.7385
Sm 0.9967 0.7385 0.2337
O 0.1153 0.3646 0.6178
O 0.1153 0.6178 0.3646
O 0.1219 0.6116 0.8641
O 0.1219 0.8641 0.6116
O 0.1234 0.1234 0.8676
O 0.1234 0.8676 0.1234
O 0.3632 0.3632 0.8746
O 0.3632 0.8746 0.3632
O 0.3646 0.1153 0.6178
O 0.3646 0.6178 0.1153
O 0.6116 0.1219 0.8641
O 0.6116 0.8641 0.1219
O 0.6178 0.1153 0.3646
O 0.6178 0.3646 0.1153
O 0.6201 0.6201 0.8756
O 0.6201 0.8756 0.6201
O 0.8641 0.1219 0.6116
O 0.8641 0.6116 0.1219
O 0.8676 0.1234 0.1234
O 0.8746 0.3632 0.3632
O 0.8756 0.6201 0.6201

Largest 12 diffraction maxima, low angle first, 2θ from 10° to 90°:
d = 3.132 Å, 28.5 deg, rel. 100
d = 3.118 Å, 28.6 deg, rel. 33
d = 2.709 Å, 33.1 deg, rel. 58
d = 1.919 Å, 47.4 deg, rel. 27
d = 1.912 Å, 47.5 deg, rel. 27
d = 1.635 Å, 56.3 deg, rel. 43
d = 1.630 Å, 56.4 deg, rel. 14
d = 1.566 Å, 59.0 deg, rel. 11
d = 1.245 Å, 76.5 deg, rel. 11
d = 1.213 Å, 78.9 deg, rel. 9
d = 1.210 Å, 79.2 deg, rel. 9
d = 1.107 Å, 88.3 deg, rel. 9


(3)
Diffraction record for SrSmO3. The X-ray diffraction stick pattern is calculated, not measured: it uses a DFT-relaxed cell (GGA-PBE, OQMD) and Cu Kα X-rays.

Structure:
Cell: 6.2458 8.6266 6.0512 Å, 90.00 90.00 90.00°
Fractional coordinates of all 20 atoms:
Sr 0.0514 0.2500 0.0201
Sr 0.4486 0.7500 0.5201
Sr 0.5514 0.2500 0.4799
Sr 0.9486 0.7500 0.9799
Sm 0.0000 0.0000 0.5000
Sm 0.0000 0.5000 0.5000
Sm 0.5000 0.0000 0.0000
Sm 0.5000 0.5000 0.0000
O 0.0589 0.7500 0.3761
O 0.2067 0.5674 0.7956
O 0.2067 0.9326 0.7956
O 0.2933 0.0674 0.2956
O 0.2933 0.4326 0.2956
O 0.4411 0.2500 0.8761
O 0.5589 0.7500 0.1239
O 0.7067 0.5674 0.7044
O 0.7067 0.9326 0.7044
O 0.7933 0.0674 0.2044
O 0.7933 0.4326 0.2044
O 0.9411 0.2500 0.6239

Largest 12 diffraction maxima, low angle first, 2θ from 10° to 90°:
d = 4.346 Å, 20.4 deg, rel. 14
d = 3.123 Å, 28.6 deg, rel. 23
d = 3.061 Å, 29.2 deg, rel. 100
d = 3.026 Å, 29.5 deg, rel. 21
d = 2.173 Å, 41.6 deg, rel. 23
d = 2.157 Å, 41.9 deg, rel. 12
d = 1.791 Å, 51.0 deg, rel. 17
d = 1.775 Å, 51.5 deg, rel. 12
d = 1.754 Å, 52.1 deg, rel. 35
d = 1.531 Å, 60.5 deg, rel. 12
d = 1.365 Å, 68.8 deg, rel. 9
d = 1.151 Å, 84.1 deg, rel. 10